The following is a simulated XRD peak list of LiCoCSO7. It was derived from the GGA+U geometry in Alexandria, using copper Kα.

Peak list (10 most intense, 2θ = 10–80°, in order of rising 2θ)
two_theta  I (rel.)
10.32  100
17.24  47
18.81  33
19.85  36
21.41  14
24.24  21
25.70  32
27.76  52
32.96  14
39.06  14

Crystal structure
```
LiCoCSO7
1.0
5.445 0.000 0.000
0.000 6.427 0.000
-0.505 0.000 8.575
Li Co C S O
2 2 2 2 14
direct
0.247 0.000 0.323
0.753 0.500 0.677
0.209 0.674 0.849
0.791 0.174 0.151
0.257 0.682 0.564
0.743 0.182 0.436
0.268 0.162 0.938
0.732 0.662 0.062
0.042 0.662 0.622
0.148 0.148 0.091
0.186 0.347 0.849
0.196 0.979 0.839
0.291 0.733 0.427
0.438 0.651 0.671
0.461 0.662 0.029
0.539 0.162 0.971
0.562 0.151 0.329
0.709 0.233 0.573
0.804 0.479 0.161
0.814 0.847 0.151
0.852 0.648 0.909
0.958 0.162 0.378
```